Starting from a structure optimized by DFT (PBE), the PXRD pattern of KTe2S6 was computed for Cu Kα (λ = 1.5418 Å).

Crystal structure
a = 5.304 Å, b = 7.664 Å, c = 8.119 Å
α = 114.06°, β = 103.05°, γ = 95.11°
Space group P1 (No. 1)
Symmetry-distinct sites (fractional):
1 K 0.000 0.000 0.000 x1
2 Te 0.086 0.627 0.269 x1
3 Te 0.919 0.371 0.731 x1
4 S 0.062 0.119 0.474 x1
5 S 0.355 0.395 0.990 x1
6 S 0.502 0.356 0.459 x1
7 S 0.503 0.642 0.541 x1
8 S 0.651 0.604 0.010 x1
9 S 0.943 0.880 0.526 x1

Principal peaks in the range 2θ from 15° to 90°, by angle:
two_theta  d [Å]  I_rel
17.53  5.059  86
21.36  4.160  85
23.33  3.813  99
25.69  3.468  44
26.19  3.403  47
30.35  2.945  58
31.48  2.842  100
32.55  2.751  68
33.65  2.664  51
43.30  2.090  34